This entry pairs a crystal structure of V5Te8 with its theoretical PXRD pattern. Radiation: copper Kα. Structure: a PBE-relaxed structure.
Lines closer than 0.1° are merged.

Largest 10 diffraction maxima, sorted by position, 10 to 90 degrees two-theta:
2θ (°)  I/Imax
28.53  26
29.96  49
30.16  100
30.40  45
30.79  25
39.09  24
39.39  33
46.19  22
47.30  39
56.53  21

```
V5Te8
1.0
6.259 -3.930 0.000
6.259 3.930 0.000
-6.159 0.000 6.609
V Te
5 8
Direct
0.000 0.000 0.000 V
0.283 0.283 0.050 V
0.287 0.713 0.500 V
0.713 0.287 0.500 V
0.717 0.717 0.950 V
0.013 0.013 0.319 Te
0.047 0.539 0.834 Te
0.428 0.428 0.652 Te
0.461 0.953 0.166 Te
0.539 0.047 0.834 Te
0.572 0.572 0.348 Te
0.953 0.461 0.166 Te
0.987 0.987 0.681 Te
```